# ZnAg2SnTeS3
Calculated PXRD pattern, Cu Kα (λ = 1.5418 Å). Input: a crystal structure in OQMD, relaxed with PBE.
Peak positions follow from Bragg's law for the DFT cell and can differ from measured ones.

Crystal structure
abc: 8.3032 7.9871 7.4335
angles: 90.00 123.93 90.00
Positions (direct):
1 Zn 0.0000 0.0000 0.0000
2 Zn 0.5000 0.5000 0.0000
3 Ag 0.4962 0.2176 0.4578
4 Ag 0.4962 0.7824 0.4578
5 Ag 0.9962 0.2824 0.4578
6 Ag 0.9962 0.7176 0.4578
7 Sn 0.0156 0.5000 0.9846
8 Sn 0.5156 0.0000 0.9846
9 Te 0.1131 0.0000 0.7244
10 Te 0.6131 0.5000 0.7244
11 S 0.1253 0.2472 0.2195
12 S 0.1253 0.7528 0.2195
13 S 0.1557 0.5000 0.7677
14 S 0.6253 0.2528 0.2195
15 S 0.6253 0.7472 0.2195
16 S 0.6557 0.0000 0.7677

Top 10 peaks for 2θ = 5–70°, in order of rising 2θ:
d (Å)	I_rel
3.444	88
3.351	100
2.483	14
2.104	75
2.076	19
1.997	14
1.842	15
1.828	11
1.765	24
1.727	18

---

# Er4B4O11F2
Calculated PXRD pattern, Cu Kα (λ = 1.5418 Å). Input: a crystal structure in OQMD, relaxed with PBE.
Peak positions follow from Bragg's law for the DFT cell and can differ from measured ones.

Crystal structure
abc: 6.9871 6.9871 13.4668
angles: 91.48 91.48 38.08
Positions (direct):
1 Er 0.0433 0.0740 0.3699
2 Er 0.0740 0.0433 0.8699
3 Er 0.2067 0.2312 0.1300
4 Er 0.2312 0.2067 0.6300
5 Er 0.7688 0.7933 0.3700
6 Er 0.7933 0.7688 0.8700
7 Er 0.9260 0.9567 0.1301
8 Er 0.9567 0.9260 0.6301
9 B 0.3640 0.4430 0.4785
10 B 0.3773 0.4341 0.7870
11 B 0.4341 0.3773 0.2870
12 B 0.4430 0.3640 0.9785
13 B 0.5570 0.6360 0.0215
14 B 0.5659 0.6227 0.7130
15 B 0.6227 0.5659 0.2130
16 B 0.6360 0.5570 0.5215
17 O 0.0883 0.7549 0.4674
18 O 0.1208 0.6840 0.2773
19 O 0.1323 0.5100 0.7440
20 O 0.2451 0.9117 0.0326
21 O 0.2690 0.5564 0.8965
22 O 0.3160 0.8792 0.2227
23 O 0.3182 0.4489 0.0714
24 O 0.3348 0.6652 0.7500
25 O 0.4436 0.7310 0.6035
26 O 0.4489 0.3182 0.5714
27 O 0.4900 0.8677 0.7560
28 O 0.5100 0.1323 0.2440
29 O 0.5511 0.6818 0.4286
30 O 0.5564 0.2690 0.3965
31 O 0.6652 0.3348 0.2500
32 O 0.6818 0.5511 0.9286
33 O 0.6840 0.1208 0.7773
34 O 0.7310 0.4436 0.1035
35 O 0.7549 0.0883 0.9674
36 O 0.8677 0.4900 0.2560
37 O 0.8792 0.3160 0.7227
38 O 0.9117 0.2451 0.5326
39 F 0.2012 0.2620 0.4243
40 F 0.2620 0.2012 0.9243
41 F 0.7380 0.7988 0.0757
42 F 0.7988 0.7380 0.5757

Top 10 peaks for 2θ = 5–70°, in order of rising 2θ:
d (Å)	I_rel
4.309	89
3.365	86
2.996	51
2.932	41
2.887	99
2.844	100
2.664	47
2.279	40
1.887	50
1.814	62

---

# Cu9Ag31
Calculated PXRD pattern, Cu Kα (λ = 1.5418 Å). Input: a crystal structure in OQMD, relaxed with PBE.
Peak positions follow from Bragg's law for the DFT cell and can differ from measured ones.

Crystal structure
abc: 6.3948 7.6125 14.2734
angles: 79.13 77.09 89.82
Positions (direct):
1 Cu 0.0000 0.0000 0.0000
2 Cu 0.0016 0.0074 0.8024
3 Cu 0.1243 0.3743 0.5563
4 Cu 0.2696 0.7627 0.7030
5 Cu 0.6258 0.8739 0.5630
6 Cu 0.6312 0.8853 0.7515
7 Cu 0.6424 0.8808 0.1444
8 Cu 0.7579 0.2475 0.7048
9 Cu 0.8839 0.6454 0.0501
10 Ag 0.0014 0.0005 0.4086
11 Ag 0.1251 0.3772 0.7462
12 Ag 0.1263 0.3864 0.9510
13 Ag 0.1284 0.3884 0.1496
14 Ag 0.1324 0.3802 0.3550
15 Ag 0.2533 0.7683 0.8970
16 Ag 0.2544 0.7620 0.0963
17 Ag 0.2597 0.7531 0.5113
18 Ag 0.2624 0.7595 0.2987
19 Ag 0.3771 0.1314 0.8508
20 Ag 0.3783 0.1285 0.0499
21 Ag 0.3781 0.1275 0.4599
22 Ag 0.3836 0.1301 0.2503
23 Ag 0.3853 0.1162 0.6574
24 Ag 0.4997 0.5022 0.4070
25 Ag 0.5023 0.5017 0.6057
26 Ag 0.5050 0.5137 0.7995
27 Ag 0.5156 0.5153 0.1962
28 Ag 0.5184 0.5091 0.9982
29 Ag 0.6288 0.8802 0.3556
30 Ag 0.6476 0.8820 0.9503
31 Ag 0.7547 0.2574 0.3044
32 Ag 0.7583 0.2509 0.0978
33 Ag 0.7610 0.2496 0.5109
34 Ag 0.7638 0.2513 0.8954
35 Ag 0.8773 0.6372 0.2487
36 Ag 0.8792 0.6292 0.6522
37 Ag 0.8831 0.6287 0.4555
38 Ag 0.8910 0.6457 0.8453
39 Ag 0.9952 0.0025 0.6159
40 Ag 0.9979 0.0068 0.1985

Top 10 peaks for 2θ = 5–70°, in order of rising 2θ:
d (Å)	I_rel
13.652	1
2.731	1
2.345	100
2.332	97
2.307	1
2.027	63
2.022	32
1.439	10
1.431	38
1.427	9